Starting from DFT lattice parameters and positions (PBE), the powder XRD pattern of Li2AcSmCd4 was simulated for Cu Ka.
Intensities are scaled so that the largest is 100.

Most intense lines, 15 to 90 degrees two-theta, in order of rising 2θ:
2θ 21.12, d 4.207, I = 81; 2θ 32.89, d 2.723, I = 100; 2θ 35.20, d 2.549, I = 96; 2θ 38.38, d 2.345, I = 34; 2θ 41.42, d 2.180, I = 14; 2θ 48.94, d 1.861, I = 32; 2θ 61.71, d 1.503, I = 32; 2θ 63.17, d 1.472, I = 18; 2θ 65.29, d 1.429, I = 14; 2θ 83.79, d 1.154, I = 14

Crystal structure
```
8
Lattice="2.5493 1.4718 9.2257 -2.5493 1.4718 9.2257 0.0000 -2.9437 9.2257" Properties=species:S:1:pos:R:3 pbc="T T T"
Li 0.0000 0.0000 6.6775
Li 0.0000 0.0000 20.9996
Ac 0.0000 0.0000 0.0000
Sm 0.0000 0.0000 13.8385
Cd 0.0000 0.0000 3.4176
Cd 0.0000 0.0000 10.7772
Cd 0.0000 0.0000 16.8998
Cd 0.0000 0.0000 24.2594
```